# 1
CsRe2Te: calculated PXRD pattern (Cu Kα (λ = 1.5418 Å)), based on a structure optimized by DFT (PBE).
No peak broadening, texture or thermal motion is included.

Crystal structure
Cell lengths 4.1523, 4.9936, 11.6084 Å; angles 90.00, 90.11, 90.00 degrees
Space group P2_1 (No. 4)
Asymmetric unit:
Cs (0.2477, 0.0000, 0.1226) [2 per cell]
Re (0.1346, 0.2717, 0.5594) [2 per cell]
Re (0.3661, 0.7275, 0.5594) [2 per cell]
Te (0.2519, 0.9999, 0.7571) [2 per cell]

Main lines, most intense first (15° ≤ 2θ ≤ 90°):
2θ 26.4, d = 3.377 Å, I 100; 2θ 48.6, d = 1.873 Å, I 85; 2θ 36.8, d = 2.441 Å, I 82; 2θ 32.0, d = 2.797 Å, I 64; 2θ 29.2, d = 3.059 Å, I 58; 2θ 44.7, d = 2.026 Å, I 57; 2θ 39.3, d = 2.294 Å, I 54; 2θ 23.0, d = 3.869 Å, I 53; 2θ 36.5, d = 2.463 Å, I 51; 2θ 48.1, d = 1.891 Å, I 49

---

# 2
PuThPtRh: calculated PXRD pattern (Cu Kα (λ = 1.5418 Å)), based on a structure optimized by DFT (PBE).
No peak broadening, texture or thermal motion is included.

Crystal structure
Cell lengths 4.2452, 3.9302, 11.0389 Å; angles 90.00, 90.00, 90.00 degrees
Space group Amm2 (No. 38)
Asymmetric unit:
Pu (0.0000, 0.0000, 0.0000) [2 per cell]
Th (0.5000, 0.0000, 0.7260) [2 per cell]
Pt (0.5000, 0.0000, 0.4536) [2 per cell]
Rh (0.0000, 0.0000, 0.2621) [2 per cell]

Main lines, most intense first (15° ≤ 2θ ≤ 90°):
2θ 32.1, d = 2.790 Å, I 100; 2θ 39.7, d = 2.270 Å, I 59; 2θ 32.4, d = 2.760 Å, I 38; 2θ 42.6, d = 2.123 Å, I 25; 2θ 46.2, d = 1.965 Å, I 20; 2θ 33.4, d = 2.686 Å, I 19; 2θ 54.5, d = 1.683 Å, I 18; 2θ 57.6, d = 1.601 Å, I 15; 2θ 74.2, d = 1.278 Å, I 15; 2θ 64.6, d = 1.442 Å, I 15